No. 1
Computed X-ray diffraction stick pattern of Ce2TmSnN5 for Cu Kα, from a cell relaxed with PBE.
Kinematic intensities with the Lorentz-polarization factor, no thermal factor.

Cell and atoms:
```
Ce2TmSnN5
1.0
1.748 -7.014 0.000
1.748 7.014 0.000
0.000 0.000 11.312
Ce Tm Sn N
4 2 2 10
Direct
0.131 0.869 0.500
0.137 0.863 0.977
0.863 0.137 0.477
0.869 0.131 0.000
0.236 0.764 0.249
0.764 0.236 0.749
0.496 0.504 0.742
0.504 0.496 0.242
0.073 0.927 0.293
0.275 0.725 0.605
0.284 0.716 0.901
0.379 0.621 0.342
0.472 0.528 0.062
0.528 0.472 0.562
0.621 0.379 0.842
0.716 0.284 0.401
0.725 0.275 0.105
0.927 0.073 0.793
```

Peak list (10 most intense, 10 to 80 degrees two-theta, low angle first)
2θ (°)	I_rel
27.45	196
29.98	1000
30.74	506
31.64	424
31.97	433
35.60	252
45.60	358
52.35	149
55.30	495
61.51	268

No. 2
Computed X-ray diffraction stick pattern of Ce2ZnSnN5 for Cu Kα, from a cell relaxed with PBE.
Kinematic intensities with the Lorentz-polarization factor, no thermal factor.

Cell and atoms:
```
Ce2ZnSnN5
1.0
1.699 -6.934 0.000
1.699 6.934 0.000
0.000 0.000 9.947
Ce Zn Sn N
4 2 2 10
Direct
0.116 0.884 0.500
0.130 0.870 0.098
0.870 0.130 0.598
0.884 0.116 0.000
0.488 0.512 0.282
0.512 0.488 0.782
0.207 0.793 0.807
0.793 0.207 0.307
0.055 0.945 0.858
0.290 0.710 0.468
0.302 0.698 0.159
0.362 0.638 0.816
0.497 0.503 0.580
0.503 0.497 0.080
0.638 0.362 0.316
0.698 0.302 0.659
0.710 0.290 0.968
0.945 0.055 0.358
```

Peak list (10 most intense, 10 to 80 degrees two-theta, low angle first)
2θ (°)	I_rel
29.87	770
31.45	957
32.56	602
32.71	856
38.49	1000
40.05	349
46.01	389
56.89	379
57.24	295
63.80	336

No. 3
Computed X-ray diffraction stick pattern of SrCe4N5 for Cu Kα, from a cell relaxed with PBE.
Kinematic intensities with the Lorentz-polarization factor, no thermal factor.

Cell and atoms:
```
SrCe4N5
1.0
-1.799 2.560 9.039
1.799 -2.560 9.039
1.799 2.560 -9.039
Sr Ce N
1 4 5
Direct
0.000 0.000 0.000
0.200 0.200 0.000
0.400 0.400 0.000
0.600 0.600 0.000
0.800 0.800 0.000
0.114 0.614 0.500
0.305 0.805 0.500
0.500 0.000 0.500
0.695 0.195 0.500
0.886 0.386 0.500
```

Peak list (10 most intense, 10 to 80 degrees two-theta, low angle first)
2θ (°)	I_rel
30.26	987
30.36	968
35.05	510
35.19	1000
50.51	862
50.75	172
60.04	451
60.23	295
62.94	172
63.17	174

No. 4
Computed X-ray diffraction stick pattern of SrCeN for Cu Kα, from a cell relaxed with PBE.
Kinematic intensities with the Lorentz-polarization factor, no thermal factor.

Cell and atoms:
```
SrCeN
1.0
3.709 0.000 0.000
-1.854 3.212 0.000
0.000 0.000 6.569
Sr Ce N
1 1 1
Direct
0.000 0.000 0.000
0.333 0.667 0.438
0.667 0.333 0.277
```

Peak list (10 most intense, 10 to 80 degrees two-theta, low angle first)
2θ (°)	I_rel
13.48	208
27.15	252
27.77	206
30.99	1000
39.23	284
49.13	207
50.44	222
57.03	193
59.23	157
63.64	90

No. 5
Computed X-ray diffraction stick pattern of Sr4Ce3VN8 for Cu Kα, from a cell relaxed with PBE.
Kinematic intensities with the Lorentz-polarization factor, no thermal factor.

Cell and atoms:
```
Sr4Ce3VN8
1.0
3.529 2.037 5.932
-3.529 2.037 5.932
0.000 -4.075 5.932
Sr Ce V N
4 3 1 8
Direct
0.000 0.000 0.000
0.000 0.500 0.500
0.500 0.000 0.500
0.500 0.500 0.000
0.000 0.000 0.500
0.000 0.500 0.000
0.500 0.000 0.000
0.500 0.500 0.500
0.236 0.236 0.236
0.257 0.721 0.721
0.279 0.279 0.743
0.279 0.743 0.279
0.721 0.257 0.721
0.721 0.721 0.257
0.743 0.279 0.279
0.764 0.764 0.764
```

Peak list (10 most intense, 10 to 80 degrees two-theta, low angle first)
2θ (°)	I_rel
30.13	328
30.94	880
35.64	1000
50.76	332
51.82	330
60.17	154
61.11	277
61.58	132
64.48	163
75.48	98

No. 6
Computed X-ray diffraction stick pattern of SrCe2WN4 for Cu Kα, from a cell relaxed with PBE.
Kinematic intensities with the Lorentz-polarization factor, no thermal factor.

Cell and atoms:
```
SrCe2WN4
1.0
1.779 -6.145 0.000
1.779 6.145 0.000
0.000 0.000 12.053
Sr Ce W N
2 4 2 8
Direct
0.112 0.888 0.750
0.888 0.112 0.250
0.368 0.632 0.538
0.368 0.632 0.962
0.632 0.368 0.038
0.632 0.368 0.462
0.155 0.845 0.250
0.845 0.155 0.750
0.000 0.000 0.000
0.000 0.000 0.500
0.259 0.741 0.126
0.259 0.741 0.374
0.420 0.580 0.750
0.580 0.420 0.250
0.741 0.259 0.626
0.741 0.259 0.874
```

Peak list (10 most intense, 10 to 80 degrees two-theta, low angle first)
2θ (°)	I_rel
16.19	498
29.06	515
29.65	434
30.06	973
34.46	261
36.63	1000
40.19	261
42.00	280
60.14	257
60.80	230

No. 7
Computed X-ray diffraction stick pattern of CeTaN4 for Cu Kα, from a cell relaxed with PBE.
Kinematic intensities with the Lorentz-polarization factor, no thermal factor.

Cell and atoms:
```
CeTaN4
1.0
-2.650 2.650 5.550
2.650 -2.650 5.550
2.650 2.650 -5.550
Ce Ta N
2 2 8
Direct
0.375 0.125 0.250
0.625 0.875 0.750
0.125 0.375 0.750
0.875 0.625 0.250
0.026 0.246 0.316
0.210 0.526 0.280
0.254 0.070 0.780
0.430 0.710 0.184
0.570 0.290 0.816
0.746 0.930 0.220
0.790 0.474 0.720
0.974 0.754 0.684
```

Peak list (10 most intense, 10 to 80 degrees two-theta, low angle first)
2θ (°)	I_rel
28.74	1000
32.26	133
33.82	232
47.43	314
48.58	148
55.38	159
57.43	286
59.52	107
76.72	125
78.46	59

No. 8
Computed X-ray diffraction stick pattern of TbCeTaN3 for Cu Kα, from a cell relaxed with PBE.
Kinematic intensities with the Lorentz-polarization factor, no thermal factor.

Cell and atoms:
```
TbCeTaN3
1.0
7.371 0.000 0.000
0.000 3.338 0.000
-0.207 0.000 8.036
Tb Ce Ta N
2 2 2 6
Direct
0.103 0.250 0.341
0.897 0.750 0.659
0.361 0.750 0.660
0.639 0.250 0.340
0.365 0.750 0.076
0.635 0.250 0.924
0.132 0.250 0.619
0.347 0.750 0.331
0.353 0.250 0.919
0.647 0.750 0.081
0.653 0.250 0.669
0.868 0.750 0.381
```

Peak list (10 most intense, 10 to 80 degrees two-theta, low angle first)
2θ (°)	I_rel
12.01	244
16.53	513
25.52	200
31.34	244
32.55	446
33.43	652
34.95	783
36.32	1000
50.66	216
55.03	221

No. 9
Computed X-ray diffraction stick pattern of Tb4CeN4 for Cu Kα, from a cell relaxed with PBE.
Kinematic intensities with the Lorentz-polarization factor, no thermal factor.

Cell and atoms:
```
Tb4CeN4
1.0
-3.949 3.949 2.480
3.949 -3.949 2.480
3.949 3.949 -2.480
Tb Ce N
4 1 4
Direct
0.108 0.688 0.796
0.312 0.108 0.420
0.688 0.892 0.580
0.892 0.312 0.204
0.500 0.500 0.000
0.203 0.404 0.607
0.404 0.797 0.201
0.596 0.203 0.799
0.797 0.596 0.393
```

Peak list (10 most intense, 10 to 80 degrees two-theta, low angle first)
2θ (°)	I_rel
31.09	1000
35.96	445
36.22	224
51.77	150
51.97	305
61.63	276
61.98	146
64.82	150
76.25	44
76.89	24

No. 10
Computed X-ray diffraction stick pattern of Tb2CeWN4 for Cu Kα, from a cell relaxed with PBE.
Kinematic intensities with the Lorentz-polarization factor, no thermal factor.

Cell and atoms:
```
Tb2CeWN4
1.0
1.696 -5.971 0.000
1.696 5.971 0.000
0.000 0.000 12.020
Tb Ce W N
4 2 2 8
Direct
0.129 0.871 0.537
0.129 0.871 0.963
0.871 0.129 0.037
0.871 0.129 0.463
0.407 0.593 0.750
0.593 0.407 0.250
0.333 0.667 0.250
0.667 0.333 0.750
0.062 0.938 0.750
0.235 0.765 0.124
0.235 0.765 0.376
0.500 0.500 0.000
0.500 0.500 0.500
0.765 0.235 0.624
0.765 0.235 0.876
0.938 0.062 0.250
```

Peak list (10 most intense, 10 to 80 degrees two-theta, low angle first)
2θ (°)	I_rel
16.58	191
29.73	523
29.93	424
30.86	219
31.20	1000
35.53	449
37.93	826
40.45	196
42.69	225
52.10	240

No. 11
Computed X-ray diffraction stick pattern of TbCeZrN3 for Cu Kα, from a cell relaxed with PBE.
Kinematic intensities with the Lorentz-polarization factor, no thermal factor.

Cell and atoms:
```
TbCeZrN3
1.0
5.899 0.000 0.000
0.000 3.428 0.000
-1.926 0.000 8.690
Tb Ce Zr N
2 2 2 6
Direct
0.231 0.250 0.453
0.769 0.750 0.547
0.351 0.750 0.811
0.649 0.250 0.189
0.137 0.750 0.137
0.863 0.250 0.863
0.047 0.250 0.667
0.247 0.250 0.010
0.446 0.750 0.323
0.554 0.250 0.677
0.753 0.750 0.990
0.953 0.750 0.333
```

Peak list (10 most intense, 10 to 80 degrees two-theta, low angle first)
2θ (°)	I_rel
30.52	431
30.89	468
31.06	197
31.42	231
33.18	977
34.85	1000
41.18	227
49.68	205
53.46	193
54.86	301

No. 12
Computed X-ray diffraction stick pattern of CeTc7N12 for Cu Kα, from a cell relaxed with PBE.
Kinematic intensities with the Lorentz-polarization factor, no thermal factor.

Cell and atoms:
```
CeTc7N12
1.0
-3.817 3.817 3.817
3.817 -3.817 3.817
3.817 3.817 -3.817
Ce Tc N
1 7 12
Direct
0.000 0.000 0.000
0.000 0.000 0.500
0.000 0.500 0.000
0.000 0.500 0.500
0.500 0.000 0.000
0.500 0.000 0.500
0.500 0.500 0.000
0.500 0.500 0.500
0.125 0.306 0.819
0.181 0.487 0.306
0.181 0.875 0.694
0.306 0.181 0.487
0.306 0.819 0.125
0.487 0.306 0.181
0.513 0.694 0.819
0.694 0.181 0.875
0.694 0.819 0.513
0.819 0.125 0.306
0.819 0.513 0.694
0.875 0.694 0.181
```

Peak list (9 most intense, 10 to 80 degrees two-theta, low angle first)
2θ (°)	I_rel
16.42	9
33.20	1000
37.25	18
40.96	8
44.41	15
47.66	225
59.31	435
69.69	125
79.40	166

Q: Number 5 is which compound?
A: Sr4Ce3VN8

Repeat the fourth record exactly.
Computed X-ray diffraction stick pattern of SrCeN for Cu Kα, from a cell relaxed with PBE.
Kinematic intensities with the Lorentz-polarization factor, no thermal factor.

Cell and atoms:
```
SrCeN
1.0
3.709 0.000 0.000
-1.854 3.212 0.000
0.000 0.000 6.569
Sr Ce N
1 1 1
Direct
0.000 0.000 0.000
0.333 0.667 0.438
0.667 0.333 0.277
```

Peak list (10 most intense, 10 to 80 degrees two-theta, low angle first)
2θ (°)	I_rel
13.48	208
27.15	252
27.77	206
30.99	1000
39.23	284
49.13	207
50.44	222
57.03	193
59.23	157
63.64	90